Structure and computed X-ray powder pattern of MgSn2Pd2 (the GGA-PBE geometry in Alexandria; Cu Kα X-rays).
Kinematic intensities with the Lorentz-polarization factor, no thermal factor.

Largest 8 diffraction maxima, most intense first, 10° ≤ 2θ ≤ 90°:
Position (°2θ)	d/Å	I_rel	index
39.49	2.282	100	1 1 3
21.38	4.156	32	0 1 1
71.86	1.314	26	3 1 3
39.13	2.302	26	0 2 0
39.67	2.272	25	2 0 0
26.94	3.310	18	1 0 2
71.14	1.325	18	1 3 3
56.94	1.617	17	2 2 0

Structure:
Lattice parameters (Å, degrees): 4.544 4.604 9.660 90.00 90.00 90.00
Space group Pmmn (No. 59, origin choice 2)
Asymmetric unit:
Mg1 0.250 0.250 0.171 [2 per cell]
Sn1 0.250 0.250 0.495 [2 per cell]
Sn2 0.250 0.250 0.831 [2 per cell]
Pd1 0.250 0.750 0.004 [2 per cell]
Pd2 0.250 0.750 0.332 [2 per cell]